Theoretical powder diffraction line list of Mg14TiNiO16 for λ = 1.5418 Å (Cu Kα), from DFT lattice parameters and positions (PBE+U).
Intensities are scaled so that the largest is 100.

Structure:
Cell: 4.235 8.506 8.640 Å, 90.00 90.00 90.00°
Fractional positions:
Mg1 0.000 0.000 0.000
Mg2 0.000 0.000 0.500
Mg3 0.000 0.250 0.243
Mg4 0.000 0.250 0.757
Mg5 0.000 0.750 0.243
Mg6 0.000 0.750 0.757
Mg7 0.500 0.000 0.248
Mg8 0.500 0.000 0.752
Mg9 0.500 0.247 0.500
Mg10 0.500 0.253 0.000
Mg11 0.500 0.500 0.241
Mg12 0.500 0.500 0.759
Mg13 0.500 0.747 0.000
Mg14 0.500 0.753 0.500
Ti1 0.000 0.500 0.500
Ni1 0.000 0.500 0.000
O1 0.000 0.000 0.253
O2 0.000 0.000 0.747
O3 0.000 0.240 0.000
O4 0.000 0.251 0.500
O5 0.000 0.500 0.271
O6 0.000 0.500 0.729
O7 0.000 0.749 0.500
O8 0.000 0.760 0.000
O9 0.500 0.000 0.000
O10 0.500 0.000 0.500
O11 0.500 0.251 0.251
O12 0.500 0.251 0.749
O13 0.500 0.500 0.000
O14 0.500 0.500 0.500
O15 0.500 0.749 0.251
O16 0.500 0.749 0.749

Largest 6 diffraction maxima, in order of rising 2θ, 2θ from 10° to 90°:
two_theta  d_spacing  Rel. int.
41.82  2.160  100
42.51  2.126  97
42.71  2.117  95
61.16  1.515  55
61.31  1.512  55
61.84  1.500  54